Diffraction record for LaCd6Hg12. The powder X-ray diffraction pattern is simulated, not measured: it uses a DFT-relaxed cell (GGA-PBE, Alexandria) and Cu Kα X-rays.
No peak broadening, texture or thermal motion is included.

Top 10 peaks for 2θ from 5° to 70°, low angle first:
2θ (°)  d/Å  I_rel  index
32.7  2.739  100  1 2 -3
33.5  2.676  91  1 0 2
33.8  2.652  91  1 -3 0
34.2  2.624  89  -3 1 1
36.8  2.444  75  2 2 -1
37.4  2.403  66  -2 1 3
42.4  2.133  45  2 -3 2
53.2  1.722  23  4 1 -4
56.6  1.626  35  0 5 -3
64.6  1.443  22  3 2 1

Crystal structure
abc: 7.9496 8.4189 8.9128
angles: 109.07 113.96 101.27
Space group P-1 (No. 2)
Unique sites:
La 0.0000 0.0000 0.0000 x1
Cd 0.0430 0.6872 0.4782 x2
Cd 0.3469 0.8003 0.2832 x2
Cd 0.4331 0.4602 0.7881 x2
Hg 0.1100 0.3682 0.9297 x2
Hg 0.1893 0.0755 0.4474 x2
Hg 0.2226 0.7194 0.8776 x2
Hg 0.2542 0.4379 0.3529 x2
Hg 0.3119 0.0942 0.8446 x2
Hg 0.4910 0.1789 0.2922 x2